Record 1
# TmPbO
Computed XRD peak list, a wavelength of 1.5418 Å. Input: a crystal structure in Alexandria, relaxed with PBE.

```
TmPbO
1.0
9.7351 0.0000 0.0000
0.0000 6.4040 0.0000
0.0000 0.0000 6.4522
Tm Pb O
6 6 6
direct
0.0000 0.1636 0.0000
0.1821 0.6277 0.8322
0.3179 0.3723 0.3322
0.5000 0.8364 0.5000
0.6821 0.3723 0.3322
0.8179 0.6277 0.8322
0.0000 0.3625 0.5231
0.1564 0.9481 0.4280
0.3436 0.0519 0.9280
0.5000 0.6375 0.0231
0.6564 0.0519 0.9280
0.8436 0.9481 0.4280
0.0000 0.8183 0.8993
0.1666 0.3890 0.0583
0.3334 0.6110 0.5583
0.5000 0.1817 0.3993
0.6666 0.6110 0.5583
0.8334 0.3890 0.0583
```

Principal peaks in the range 5 to 70 degrees two-theta, low angle first:
d (Å)  I/Imax
5.367  17
4.118  18
3.226  37
2.895  43
2.868  64
2.763  25
2.689  22
2.641  100
1.676  14
1.412  16

=====

Record 2
# Dy5Sb
Computed XRD peak list, a wavelength of 1.5418 Å. Input: a crystal structure in Alexandria, relaxed with PBE.

```
Dy5Sb
1.0
2.4033 -7.4153 0.0000
2.4033 7.4153 0.0000
0.0000 0.0000 4.8611
Dy Sb
5 1
direct
0.0000 0.0000 0.0000
0.1608 0.8392 0.5000
0.3334 0.6666 0.0000
0.6666 0.3334 0.0000
0.8392 0.1608 0.5000
0.5000 0.5000 0.5000
```

Principal peaks in the range 5 to 70 degrees two-theta, low angle first:
d (Å)  I/Imax
2.811  100
2.472  17
2.431  17
2.403  16
1.733  12
1.723  12
1.484  14
1.466  14
1.454  13
1.406  12

=====

Record 3
# Ti4CuAg
Computed XRD peak list, a wavelength of 1.5418 Å. Input: a crystal structure in Alexandria, relaxed with PBE.

```
Ti4CuAg
1.0
2.9440 0.0000 0.0000
0.0000 2.9440 0.0000
0.0000 0.0000 11.3728
Ti Cu Ag
4 1 1
direct
0.0000 0.0000 0.1531
0.0000 0.0000 0.8469
0.5000 0.5000 0.3177
0.5000 0.5000 0.6823
0.5000 0.5000 0.0000
0.0000 0.0000 0.5000
```

Principal peaks in the range 5 to 70 degrees two-theta, low angle first:
d (Å)  I/Imax
11.373  6
5.686  12
2.848  14
2.614  6
2.325  100
2.082  37
1.955  3
1.895  11
1.472  11
1.402  16

=====

Record 4
# KNaTiS3
Computed XRD peak list, a wavelength of 1.5418 Å. Input: a crystal structure in Alexandria, relaxed with PBE.

```
KNaTiS3
1.0
5.0043 -3.9865 0.0000
5.0043 3.9865 0.0000
-2.9184 0.0000 7.9132
K Na Ti S
2 2 2 6
direct
0.1749 0.1749 0.1662
0.8251 0.8251 0.8338
0.2380 0.7620 0.5000
0.7620 0.2380 0.5000
0.4120 0.4120 0.8234
0.5880 0.5880 0.1766
0.2242 0.6465 0.1513
0.2452 0.2452 0.5693
0.3535 0.7758 0.8487
0.6465 0.2242 0.1513
0.7548 0.7548 0.4307
0.7758 0.3535 0.8487
```

Principal peaks in the range 5 to 70 degrees two-theta, low angle first:
d (Å)  I/Imax
6.078  36
4.839  29
3.718  40
3.077  100
3.039  54
2.638  59
2.499  24
2.372  22
2.185  36
1.993  38

=====

Record 5
# LiEr4Zr4O14
Computed XRD peak list, a wavelength of 1.5418 Å. Input: a crystal structure in Alexandria, relaxed with PBE.

```
LiEr4Zr4O14
1.0
3.6298 0.0000 0.0000
0.0000 7.5332 0.0000
-0.1800 0.0000 10.6979
Li Er Zr O
1 4 4 14
direct
0.0000 0.0000 0.0000
0.4934 0.2724 0.0115
0.4934 0.7276 0.0115
0.9687 0.5000 0.2707
0.9802 0.0000 0.7310
0.4710 0.2603 0.5060
0.4710 0.7397 0.5060
0.9457 0.0000 0.2546
0.9811 0.5000 0.7461
0.4598 0.0000 0.3454
0.4711 0.5000 0.3800
0.4732 0.5000 0.6153
0.4743 0.0000 0.6105
0.4870 0.5000 0.8635
0.5117 0.0000 0.0806
0.9651 0.2342 0.4064
0.9651 0.7658 0.4064
0.9749 0.2678 0.6444
0.9749 0.7322 0.6444
0.9890 0.1977 0.8930
0.9890 0.8023 0.8930
0.9935 0.2549 0.1533
0.9935 0.7451 0.1533
```

Principal peaks in the range 5 to 70 degrees two-theta, low angle first:
d (Å)  I/Imax
3.080  100
3.027  50
2.980  48
2.674  22
2.613  41
1.882  48
1.858  35
1.815  16
1.611  19
1.591  19

=====

Record 6
# CsK7RbHg2
Computed XRD peak list, a wavelength of 1.5418 Å. Input: a crystal structure in Alexandria, relaxed with PBE.

```
CsK7RbHg2
1.0
6.7422 0.0000 0.0000
0.0000 6.7422 0.0000
0.0000 0.0000 17.8197
Cs K Rb Hg
1 7 1 2
direct
0.0000 0.0000 0.0000
0.0000 0.5000 0.2870
0.0000 0.5000 0.7130
0.5000 0.0000 0.2870
0.5000 0.0000 0.7130
0.5000 0.5000 0.1163
0.5000 0.5000 0.5000
0.5000 0.5000 0.8837
0.0000 0.0000 0.5000
0.5000 0.5000 0.3113
0.5000 0.5000 0.6887
```

Principal peaks in the range 5 to 70 degrees two-theta, low angle first:
d (Å)  I/Imax
6.742  38
5.940  27
5.376  100
4.767  61
3.371  68
3.151  43
2.856  53
2.449  24
2.384  27
2.302  34